# CaZn3
Simulated XRD peak list, λ = 1.5418 Å (Cu Kα). Input: a DFT-relaxed cell (GGA-PBE, the Materials Project).
Peak positions follow from Bragg's law for the DFT cell and can differ from measured ones.

Largest 10 diffraction maxima, in order of falling intensity, 10° ≤ 2θ ≤ 90°:
- 2θ = 35.9°, d = 2.503 Å, I = 100
- 2θ = 41.7°, d = 2.167 Å, I = 49
- 2θ = 72.3°, d = 1.307 Å, I = 34
- 2θ = 60.4°, d = 1.533 Å, I = 30
- 2θ = 76.1°, d = 1.251 Å, I = 10
- 2θ = 20.5°, d = 4.335 Å, I = 4
- 2θ = 29.1°, d = 3.065 Å, I = 3
- 2θ = 46.9°, d = 1.939 Å, I = 2
- 2θ = 51.7°, d = 1.770 Å, I = 1
- 2θ = 64.5°, d = 1.445 Å, I = 1

Atomic structure:
a = 4.335 Å, b = 4.335 Å, c = 4.335 Å
α = 90.00°, β = 90.00°, γ = 90.00°
Atoms (fractional coordinates):
Ca 0.000 0.000 0.000
Zn 0.000 0.500 0.500
Zn 0.500 0.000 0.500
Zn 0.500 0.500 0.000

=====

# CaZn
Simulated XRD peak list, λ = 1.5418 Å (Cu Kα). Input: a DFT-relaxed cell (GGA-PBE, the Materials Project).
Peak positions follow from Bragg's law for the DFT cell and can differ from measured ones.

Largest 10 diffraction maxima, in order of falling intensity, 10° ≤ 2θ ≤ 90°:
- 2θ = 28.9°, d = 3.089 Å, I = 100
- 2θ = 41.3°, d = 2.184 Å, I = 73
- 2θ = 67.8°, d = 1.381 Å, I = 30
- 2θ = 51.2°, d = 1.783 Å, I = 25
- 2θ = 75.4°, d = 1.261 Å, I = 22
- 2θ = 25.0°, d = 3.567 Å, I = 12
- 2θ = 59.9°, d = 1.544 Å, I = 11
- 2θ = 89.8°, d = 1.092 Å, I = 7
- 2θ = 48.9°, d = 1.863 Å, I = 7
- 2θ = 65.9°, d = 1.417 Å, I = 3

Atomic structure:
a = 6.177 Å, b = 6.177 Å, c = 6.177 Å
α = 90.00°, β = 90.00°, γ = 90.00°
Atoms (fractional coordinates):
Ca 0.000 0.000 0.000
Ca 0.000 0.500 0.500
Ca 0.500 0.000 0.500
Ca 0.500 0.500 0.000
Zn 0.000 0.000 0.500
Zn 0.000 0.500 0.000
Zn 0.500 0.000 0.000
Zn 0.500 0.500 0.500

=====

# Ca3Zn
Simulated XRD peak list, λ = 1.5418 Å (Cu Kα). Input: a DFT-relaxed cell (GGA-PBE, the Materials Project).
Peak positions follow from Bragg's law for the DFT cell and can differ from measured ones.

Largest 10 diffraction maxima, in order of falling intensity, 10° ≤ 2θ ≤ 90°:
- 2θ = 31.1°, d = 2.875 Å, I = 100
- 2θ = 35.1°, d = 2.556 Å, I = 58
- 2θ = 28.9°, d = 3.094 Å, I = 45
- 2θ = 13.4°, d = 6.615 Å, I = 44
- 2θ = 29.7°, d = 3.011 Å, I = 44
- 2θ = 32.3°, d = 2.770 Å, I = 41
- 2θ = 29.8°, d = 2.998 Å, I = 30
- 2θ = 54.2°, d = 1.691 Å, I = 29
- 2θ = 54.6°, d = 1.680 Å, I = 25
- 2θ = 44.8°, d = 2.022 Å, I = 22

Atomic structure:
a = 4.088 Å, b = 13.229 Å, c = 10.145 Å
α = 90.00°, β = 90.00°, γ = 90.00°
Atoms (fractional coordinates):
Ca 0.000 0.068 0.250
Ca 0.000 0.358 0.061
Ca 0.000 0.358 0.439
Ca 0.000 0.642 0.561
Ca 0.000 0.642 0.939
Ca 0.000 0.932 0.750
Ca 0.500 0.142 0.561
Ca 0.500 0.142 0.939
Ca 0.500 0.432 0.750
Ca 0.500 0.568 0.250
Ca 0.500 0.858 0.061
Ca 0.500 0.858 0.439
Zn 0.000 0.253 0.750
Zn 0.000 0.747 0.250
Zn 0.500 0.247 0.250
Zn 0.500 0.753 0.750

=====

# CaZn
Simulated XRD peak list, λ = 1.5418 Å (Cu Kα). Input: a DFT-relaxed cell (GGA-PBE, the Materials Project).
Peak positions follow from Bragg's law for the DFT cell and can differ from measured ones.

Largest 10 diffraction maxima, in order of falling intensity, 10° ≤ 2θ ≤ 90°:
- 2θ = 34.2°, d = 2.619 Å, I = 100
- 2θ = 61.3°, d = 1.512 Å, I = 33
- 2θ = 49.2°, d = 1.852 Å, I = 17
- 2θ = 82.3°, d = 1.171 Å, I = 13
- 2θ = 72.1°, d = 1.309 Å, I = 10
- 2θ = 24.0°, d = 3.703 Å, I = 8
- 2θ = 55.5°, d = 1.656 Å, I = 4
- 2θ = 42.3°, d = 2.138 Å, I = 3
- 2θ = 77.3°, d = 1.234 Å, I = 2
- 2θ = 87.3°, d = 1.117 Å, I = 1

Atomic structure:
a = 3.703 Å, b = 3.703 Å, c = 3.703 Å
α = 90.00°, β = 90.00°, γ = 90.00°
Atoms (fractional coordinates):
Ca 0.000 0.000 0.000
Zn 0.500 0.500 0.500

=====

# CaZn
Simulated XRD peak list, λ = 1.5418 Å (Cu Kα). Input: a DFT-relaxed cell (GGA-PBE, the Materials Project).
Peak positions follow from Bragg's law for the DFT cell and can differ from measured ones.

Largest 10 diffraction maxima, in order of falling intensity, 10° ≤ 2θ ≤ 90°:
- 2θ = 29.8°, d = 3.002 Å, I = 100
- 2θ = 38.5°, d = 2.337 Å, I = 49
- 2θ = 46.3°, d = 1.959 Å, I = 28
- 2θ = 64.4°, d = 1.448 Å, I = 19
- 2θ = 56.1°, d = 1.641 Å, I = 15
- 2θ = 42.1°, d = 2.149 Å, I = 13
- 2θ = 75.6°, d = 1.258 Å, I = 12
- 2θ = 61.8°, d = 1.501 Å, I = 11
- 2θ = 64.0°, d = 1.456 Å, I = 10
- 2θ = 80.6°, d = 1.192 Å, I = 10

Atomic structure:
a = 3.918 Å, b = 3.918 Å, c = 12.891 Å
α = 90.00°, β = 90.00°, γ = 120.00°
Atoms (fractional coordinates):
Ca 0.000 0.000 0.000
Ca 0.333 0.667 0.667
Ca 0.667 0.333 0.333
Zn 0.000 0.000 0.500
Zn 0.333 0.667 0.167
Zn 0.667 0.333 0.833

=====

# CaZn
Simulated XRD peak list, λ = 1.5418 Å (Cu Kα). Input: a DFT-relaxed cell (GGA-PBE, the Materials Project).
Peak positions follow from Bragg's law for the DFT cell and can differ from measured ones.

Largest 10 diffraction maxima, in order of falling intensity, 10° ≤ 2θ ≤ 90°:
- 2θ = 34.4°, d = 2.607 Å, I = 100
- 2θ = 34.3°, d = 2.616 Å, I = 50
- 2θ = 49.3°, d = 1.850 Å, I = 17
- 2θ = 61.5°, d = 1.507 Å, I = 17
- 2θ = 61.7°, d = 1.503 Å, I = 16
- 2θ = 61.4°, d = 1.510 Å, I = 16
- 2θ = 82.5°, d = 1.169 Å, I = 10
- 2θ = 72.5°, d = 1.303 Å, I = 10
- 2θ = 49.6°, d = 1.836 Å, I = 8
- 2θ = 24.1°, d = 3.700 Å, I = 8

Atomic structure:
a = 5.226 Å, b = 3.673 Å, c = 5.239 Å
α = 90.00°, β = 90.00°, γ = 90.00°
Atoms (fractional coordinates):
Ca 0.250 0.000 0.245
Ca 0.750 0.000 0.755
Zn 0.250 0.500 0.739
Zn 0.750 0.500 0.261